[1]
The following is a simulated XRD peak list of CrCo2Tc. It was derived from a PBE-relaxed structure, using a wavelength of 1.5418 Å.
Neutral-atom scattering factors, no anomalous dispersion.

a b c (Å): 3.5727 3.5727 3.6668
angles (deg): 90.00 90.00 90.00
Fractional coordinates of all 4 atoms:
Cr: 0.0000 0.0000 0.0000
Co: 0.0000 0.5000 0.5000
Co: 0.5000 0.0000 0.5000
Tc: 0.5000 0.5000 0.0000

Main lines, low angle first (2θ from 15° to 90°):
d (Å)  I/Imax
3.573  63
2.559  53
2.080  1000
1.833  165
1.786  302
1.279  184
1.263  88
1.100  114



[2]
The following is a simulated XRD peak list of Cr2CoTe4. It was derived from a PBE-relaxed structure, using a wavelength of 1.5418 Å.
Neutral-atom scattering factors, no anomalous dispersion.

a b c (Å): 6.9482 6.9482 6.8729
angles (deg): 119.05 119.05 33.56
Fractional coordinates of all 7 atoms:
Cr: 0.2453 0.2453 0.2294
Cr: 0.7547 0.7547 0.7706
Co: 0.5000 0.5000 0.5000
Te: 0.1247 0.1247 0.4639
Te: 0.3838 0.3838 0.0498
Te: 0.6162 0.6162 0.9502
Te: 0.8753 0.8753 0.5361

Main lines, low angle first (2θ from 15° to 90°):
d (Å)  I/Imax
2.973  1000
2.959  863
2.933  512
2.214  437
2.203  408
2.006  304
1.989  581
1.642  208



[3]
The following is a simulated XRD peak list of CrCoTe2. It was derived from a PBE-relaxed structure, using a wavelength of 1.5418 Å.
Neutral-atom scattering factors, no anomalous dispersion.

a b c (Å): 8.4074 6.2130 7.7448
angles (deg): 90.00 115.31 90.00
Fractional coordinates of all 16 atoms:
Cr: 0.0212 0.0227 0.3121
Cr: 0.0212 0.4773 0.8121
Cr: 0.9788 0.5227 0.1879
Cr: 0.9788 0.9773 0.6879
Co: 0.1026 0.6477 0.5528
Co: 0.1026 0.8523 0.0528
Co: 0.8974 0.1477 0.9472
Co: 0.8974 0.3523 0.4472
Te: 0.2102 0.2469 0.6406
Te: 0.2102 0.2531 0.1406
Te: 0.2932 0.7478 0.3930
Te: 0.2932 0.7522 0.8930
Te: 0.7068 0.2478 0.1070
Te: 0.7068 0.2522 0.6070
Te: 0.7898 0.7469 0.8594
Te: 0.7898 0.7531 0.3594

Main lines, low angle first (2θ from 15° to 90°):
d (Å)  I/Imax
3.800  432
3.106  561
3.050  1000
2.982  779
2.405  823
2.037  502
1.817  390
1.782  405



[4]
The following is a simulated XRD peak list of V6CrCo. It was derived from a PBE-relaxed structure, using a wavelength of 1.5418 Å.
Neutral-atom scattering factors, no anomalous dispersion.

a b c (Å): 4.6829 4.6829 4.6829
angles (deg): 90.04 90.04 90.04
Fractional coordinates of all 8 atoms:
V: 0.0002 0.2498 0.4999
V: 0.9998 0.7502 0.5001
V: 0.2498 0.4999 0.0002
V: 0.4999 0.0002 0.2498
V: 0.5001 0.9998 0.7502
V: 0.7502 0.5001 0.9998
Cr: 0.5000 0.5000 0.5000
Co: 0.0000 0.0000 0.0000

Main lines, low angle first (2θ from 15° to 90°):
d (Å)  I/Imax
3.311  11
2.341  416
2.094  1000
1.912  859
1.352  59
1.299  181
1.252  370
1.171  136



[5]
The following is a simulated XRD peak list of V3CrCo12. It was derived from a PBE-relaxed structure, using a wavelength of 1.5418 Å.
Neutral-atom scattering factors, no anomalous dispersion.

a b c (Å): 3.5062 3.5062 14.0188
angles (deg): 90.00 90.00 90.00
Fractional coordinates of all 16 atoms:
V: 0.0000 0.0000 0.0000
V: 0.0000 0.0000 0.2496
V: 0.0000 0.0000 0.7504
Cr: 0.0000 0.0000 0.5000
Co: 0.0000 0.5000 0.1259
Co: 0.0000 0.5000 0.3784
Co: 0.0000 0.5000 0.6216
Co: 0.0000 0.5000 0.8741
Co: 0.5000 0.0000 0.1259
Co: 0.5000 0.0000 0.3784
Co: 0.5000 0.0000 0.6216
Co: 0.5000 0.0000 0.8741
Co: 0.5000 0.5000 0.0000
Co: 0.5000 0.5000 0.2517
Co: 0.5000 0.5000 0.5000
Co: 0.5000 0.5000 0.7483

Main lines, low angle first (2θ from 15° to 90°):
d (Å)  I/Imax
3.506  7
2.479  6
2.024  1000
1.753  460
1.239  261



[6]
The following is a simulated XRD peak list of Cr2CoW. It was derived from a PBE-relaxed structure, using a wavelength of 1.5418 Å.
Neutral-atom scattering factors, no anomalous dispersion.

a b c (Å): 4.5628 4.5628 4.5094
angles (deg): 100.13 100.13 33.14
Fractional coordinates of all 4 atoms:
Cr: 0.2341 0.2341 0.2278
Cr: 0.7659 0.7659 0.7722
Co: 0.5000 0.5000 0.0000
W: 0.0000 0.0000 0.5000

Main lines, low angle first (2θ from 15° to 90°):
d (Å)  I/Imax
4.433  296
4.299  489
2.149  503
2.136  517
2.124  1000
1.853  653
1.837  299
1.301  287